# 1
Diffraction record for PrB2C2. The X-ray diffraction stick pattern is simulated, not measured: it uses a structure optimized by DFT (PBE) and Cu Kα X-rays.
Kinematic intensities with the Lorentz-polarization factor, no thermal factor.

Cell and atoms:
```
data_PrB2C2
_cell_length_a 3.8315
_cell_length_b 3.8315
_cell_length_c 7.8149
_cell_angle_alpha 90.00
_cell_angle_beta 90.00
_cell_angle_gamma 90.00
_space_group_name_H-M_alt 'P 42/m m c'
_space_group_IT_number 131
_space_group_name_Hall '-P 4c 2'
loop_
_atom_site_label
_atom_site_fract_x
_atom_site_fract_y
_atom_site_fract_z
_atom_site_occupancy
Pr1 0.0000 0.0000 0.2500 1
B1 0.2165 0.5000 0.0000 1
C1 0.1869 0.5000 0.5000 1
```

Most intense lines, 2θ from 10° to 80°, by angle:
22.76°, d = 3.907 Å, I = 25, (0 0 2); 23.22°, d = 3.831 Å, I = 80, (1 0 0); 32.73°, d = 2.736 Å, I = 100, (1 0 2); 33.06°, d = 2.709 Å, I = 34, (1 1 0); 40.52°, d = 2.226 Å, I = 54, (1 1 2); 52.58°, d = 1.741 Å, I = 19, (1 0 4); 53.25°, d = 1.720 Å, I = 20, (2 0 2); 53.48°, d = 1.713 Å, I = 26, (2 1 0); 58.85°, d = 1.569 Å, I = 24, (2 1 2); 73.52°, d = 1.288 Å, I = 20, (2 1 4)

=====

# 2
Diffraction record for PrSe2. The X-ray diffraction stick pattern is simulated, not measured: it uses a structure optimized by DFT (PBE) and Cu Kα X-rays.
Kinematic intensities with the Lorentz-polarization factor, no thermal factor.

Cell and atoms:
```
data_PrSe2
_cell_length_a 8.4185
_cell_length_b 8.4185
_cell_length_c 8.6355
_cell_angle_alpha 90.00
_cell_angle_beta 90.00
_cell_angle_gamma 90.00
_space_group_name_H-M_alt 'P -4 b 2'
_space_group_IT_number 117
_space_group_name_Hall 'P -4 -2ab'
loop_
_atom_site_label
_atom_site_fract_x
_atom_site_fract_y
_atom_site_fract_z
_atom_site_occupancy
Pr1 0.0083 0.2497 0.2743 1
Se1 0.0000 0.0000 0.0000 1
Se2 0.0000 0.5000 0.0000 1
Se3 0.0020 0.2499 0.6332 1
Se4 0.2289 0.7289 0.0000 1
```

Most intense lines, 2θ from 10° to 80°, by angle:
23.51°, d = 3.784 Å, I = 42, (2 0 1); 30.02°, d = 2.976 Å, I = 37, (2 2 0); 31.07°, d = 2.879 Å, I = 35, (0 0 3); 31.80°, d = 2.814 Å, I = 71, (2 2 1); 36.67°, d = 2.451 Å, I = 100, (2 2 2); 37.86°, d = 2.376 Å, I = 57, (2 0 3); 42.97°, d = 2.105 Å, I = 57, (4 0 0); 53.97°, d = 1.699 Å, I = 27, (4 0 3); 58.59°, d = 1.575 Å, I = 31, (4 2 3); 74.59°, d = 1.272 Å, I = 37, (6 2 2)

=====

# 3
Diffraction record for Cs3Sb2I9. The X-ray diffraction stick pattern is simulated, not measured: it uses a structure optimized by DFT (PBE) and Cu Kα X-rays.
Kinematic intensities with the Lorentz-polarization factor, no thermal factor.

Cell and atoms:
```
data_Cs3Sb2I9
_cell_length_a 8.5724
_cell_length_b 8.5724
_cell_length_c 21.7309
_cell_angle_alpha 90.00
_cell_angle_beta 90.00
_cell_angle_gamma 120.00
_space_group_name_H-M_alt 'P 63/m m c'
_space_group_IT_number 194
_space_group_name_Hall '-P 6c 2c'
loop_
_atom_site_label
_atom_site_fract_x
_atom_site_fract_y
_atom_site_fract_z
_atom_site_occupancy
Cs1 0.0000 0.0000 0.2500 1
Cs2 0.3333 0.6667 0.0772 1
Sb1 0.3333 0.6667 0.6569 1
I1 0.0030 0.5015 0.2500 1
I2 0.1678 0.3357 0.5837 1
```

Most intense lines, 2θ from 10° to 80°, by angle:
24.58°, d = 3.622 Å, I = 50, (0 0 6); 25.36°, d = 3.513 Å, I = 86, (2 0 2); 26.99°, d = 3.303 Å, I = 100, (2 0 3); 29.14°, d = 3.065 Å, I = 80, (2 0 4); 31.70°, d = 2.823 Å, I = 42, (2 0 5); 41.18°, d = 2.192 Å, I = 28, (2 0 8); 42.17°, d = 2.143 Å, I = 65, (2 2 0); 44.78°, d = 2.024 Å, I = 34, (2 0 9); 49.41°, d = 1.844 Å, I = 44, (2 2 6); 67.74°, d = 1.383 Å, I = 29, (2 2 12)

=====

# 4
Diffraction record for NpH3. The X-ray diffraction stick pattern is simulated, not measured: it uses a structure optimized by DFT (PBE) and Cu Kα X-rays.
Kinematic intensities with the Lorentz-polarization factor, no thermal factor.

Cell and atoms:
```
data_NpH3
_cell_length_a 3.3681
_cell_length_b 3.3681
_cell_length_c 6.1975
_cell_angle_alpha 90.00
_cell_angle_beta 90.00
_cell_angle_gamma 90.00
_space_group_name_H-M_alt 'I 4/m m m'
_space_group_IT_number 139
_space_group_name_Hall '-I 4 2'
loop_
_atom_site_label
_atom_site_fract_x
_atom_site_fract_y
_atom_site_fract_z
_atom_site_occupancy
Np1 0.0000 0.0000 0.0000 1
H1 0.0000 0.0000 0.5000 1
H2 0.0000 0.5000 0.2500 1
```

Most intense lines, 2θ from 10° to 80°, by angle:
28.81°, d = 3.099 Å, I = 28, (0 0 2); 30.20°, d = 2.959 Å, I = 100, (1 0 1); 37.77°, d = 2.382 Å, I = 28, (1 1 0); 48.19°, d = 1.888 Å, I = 30, (1 1 2); 51.92°, d = 1.761 Å, I = 23, (1 0 3); 54.49°, d = 1.684 Å, I = 10, (2 0 0); 62.80°, d = 1.480 Å, I = 13, (2 0 2); 63.57°, d = 1.464 Å, I = 26, (2 1 1); 72.83°, d = 1.299 Å, I = 9, (1 1 4); 78.60°, d = 1.217 Å, I = 14, (2 1 3)